1.
This entry pairs a crystal structure of In2Se with its theoretical X-ray diffraction stick pattern. Radiation: copper Kα. Structure: a PBE-relaxed structure.
Neutral-atom scattering factors, no anomalous dispersion.

Top 10 peaks for 2θ from 15° to 90°, in order of rising 2θ:
2θ = 23.04°, I = 26
2θ = 25.85°, I = 25
2θ = 28.09°, I = 83
2θ = 29.10°, I = 23
2θ = 32.38°, I = 100
2θ = 36.89°, I = 26
2θ = 37.72°, I = 44
2θ = 39.08°, I = 21
2θ = 44.26°, I = 34
2θ = 48.55°, I = 25

Atomic structure:
```
In2Se
1.0
11.6118 0.0000 0.0000
0.0000 15.1620 0.0000
0.0000 0.0000 4.0928
In Se
16 8
Direct
0.0867 0.1225 0.0000 In
0.0945 0.6403 0.5000 In
0.1916 0.4915 0.0000 In
0.2469 0.7607 0.0000 In
0.2531 0.2607 0.5000 In
0.3084 0.9915 0.5000 In
0.4055 0.1403 0.0000 In
0.4133 0.6225 0.5000 In
0.5867 0.3775 0.5000 In
0.5945 0.8597 0.0000 In
0.6916 0.0085 0.5000 In
0.7469 0.7393 0.5000 In
0.7531 0.2393 0.0000 In
0.8084 0.5085 0.0000 In
0.9055 0.3597 0.5000 In
0.9133 0.8775 0.0000 In
0.0847 0.3236 0.0000 Se
0.1532 0.9313 0.0000 Se
0.3468 0.4313 0.5000 Se
0.4153 0.8236 0.5000 Se
0.5847 0.1764 0.5000 Se
0.6532 0.5687 0.5000 Se
0.8468 0.0687 0.0000 Se
0.9153 0.6764 0.0000 Se
```

2.
This entry pairs a crystal structure of BaLa2Te5O14 with its theoretical X-ray diffraction stick pattern. Radiation: copper Kα. Structure: a PBE-relaxed structure.
Neutral-atom scattering factors, no anomalous dispersion.

Top 10 peaks for 2θ from 15° to 90°, in order of rising 2θ:
2θ = 24.73°, I = 10
2θ = 27.18°, I = 100
2θ = 28.69°, I = 14
2θ = 29.30°, I = 24
2θ = 36.00°, I = 10
2θ = 41.47°, I = 13
2θ = 46.76°, I = 5
2θ = 47.07°, I = 11
2θ = 50.68°, I = 17
2θ = 52.41°, I = 5

Atomic structure:
```
BaLa2Te5O14
1.0
9.7137 -3.0484 0.0000
9.7137 3.0484 0.0000
-4.1022 0.0000 12.7859
Ba La Te O
2 4 10 28
Direct
0.0000 0.5000 0.0000 Ba
0.5000 0.0000 0.5000 Ba
0.0481 0.6036 0.3317 La
0.3964 0.9519 0.1683 La
0.6036 0.0481 0.8317 La
0.9519 0.3964 0.6683 La
0.1031 0.6101 0.6606 Te
0.1992 0.6927 0.9705 Te
0.2884 0.7116 0.2500 Te
0.3073 0.8008 0.5295 Te
0.3899 0.8969 0.8394 Te
0.6101 0.1031 0.1606 Te
0.6927 0.1992 0.4705 Te
0.7116 0.2884 0.7500 Te
0.8008 0.3073 0.0295 Te
0.8969 0.3899 0.3394 Te
0.0117 0.6919 0.8923 O
0.0317 0.8481 0.2933 O
0.0726 0.5908 0.5138 O
0.1519 0.9683 0.2067 O
0.1821 0.2432 0.3286 O
0.2084 0.6272 0.0955 O
0.2432 0.1821 0.8286 O
0.2830 0.3120 0.6805 O
0.3081 0.9883 0.6077 O
0.3120 0.2830 0.1805 O
0.3728 0.7916 0.4045 O
0.3968 0.4733 0.4117 O
0.4092 0.9274 0.9862 O
0.4733 0.3968 0.9117 O
0.5267 0.6032 0.0883 O
0.5908 0.0726 0.0138 O
0.6032 0.5267 0.5883 O
0.6272 0.2084 0.5955 O
0.6880 0.7170 0.8195 O
0.6919 0.0117 0.3923 O
0.7170 0.6880 0.3195 O
0.7568 0.8179 0.1714 O
0.7916 0.3728 0.9045 O
0.8179 0.7568 0.6714 O
0.8481 0.0317 0.7933 O
0.9274 0.4092 0.4862 O
0.9683 0.1519 0.7067 O
0.9883 0.3081 0.1077 O
```

3.
This entry pairs a crystal structure of U2Al19Co6 with its theoretical X-ray diffraction stick pattern. Radiation: copper Kα. Structure: a PBE-relaxed structure.
Neutral-atom scattering factors, no anomalous dispersion.

Top 10 peaks for 2θ from 15° to 90°, in order of rising 2θ:
2θ = 18.09°, I = 58
2θ = 22.41°, I = 100
2θ = 25.69°, I = 60
2θ = 27.28°, I = 47
2θ = 30.75°, I = 47
2θ = 30.94°, I = 47
2θ = 31.18°, I = 41
2θ = 37.58°, I = 88
2θ = 37.83°, I = 74
2θ = 44.42°, I = 55

Atomic structure:
```
U2Al19Co6
1.0
8.7534 -6.0034 0.0000
8.7534 6.0034 0.0000
-1.9665 0.0000 7.9180
U Al Co
4 38 12
Direct
0.2185 0.2185 0.2237 U
0.2189 0.2189 0.7455 U
0.7811 0.7811 0.2545 U
0.7815 0.7815 0.7763 U
0.0029 0.5019 0.2394 Al
0.0155 0.6857 0.5514 Al
0.0338 0.6858 0.0541 Al
0.0633 0.8278 0.3518 Al
0.0663 0.8295 0.8450 Al
0.1705 0.9337 0.1550 Al
0.1722 0.9367 0.6482 Al
0.2004 0.4310 0.5331 Al
0.2211 0.4457 0.0463 Al
0.2994 0.6468 0.6372 Al
0.3142 0.9662 0.9459 Al
0.3143 0.9845 0.4486 Al
0.3324 0.6676 0.0000 Al
0.3532 0.7006 0.3628 Al
0.4098 0.4098 0.8143 Al
0.4176 0.4176 0.3552 Al
0.4310 0.2004 0.5331 Al
0.4457 0.2211 0.0463 Al
0.4981 0.9971 0.7606 Al
0.5019 0.0029 0.2394 Al
0.5543 0.7789 0.9537 Al
0.5690 0.7996 0.4669 Al
0.5824 0.5824 0.6448 Al
0.5902 0.5902 0.1857 Al
0.6468 0.2994 0.6372 Al
0.6676 0.3324 0.0000 Al
0.6857 0.0155 0.5514 Al
0.6858 0.0338 0.0541 Al
0.7006 0.3532 0.3628 Al
0.7789 0.5543 0.9537 Al
0.7996 0.5690 0.4669 Al
0.8278 0.0633 0.3518 Al
0.8295 0.0663 0.8450 Al
0.9337 0.1705 0.1550 Al
0.9367 0.1722 0.6482 Al
0.9662 0.3142 0.9459 Al
0.9845 0.3143 0.4486 Al
0.9971 0.4981 0.7606 Al
0.0610 0.0610 0.4051 Co
0.0641 0.0641 0.9075 Co
0.1796 0.5781 0.8111 Co
0.1866 0.5816 0.3299 Co
0.4184 0.8134 0.6701 Co
0.4219 0.8204 0.1889 Co
0.5781 0.1796 0.8111 Co
0.5816 0.1866 0.3299 Co
0.8134 0.4184 0.6701 Co
0.8204 0.4219 0.1889 Co
0.9359 0.9359 0.0925 Co
0.9390 0.9390 0.5949 Co
```

4.
This entry pairs a crystal structure of LaErTl2 with its theoretical X-ray diffraction stick pattern. Radiation: copper Kα. Structure: a PBE-relaxed structure.
Neutral-atom scattering factors, no anomalous dispersion.

Top 10 peaks for 2θ from 15° to 90°, in order of rising 2θ:
2θ = 22.89°, I = 2
2θ = 32.60°, I = 100
2θ = 40.21°, I = 1
2θ = 46.77°, I = 19
2θ = 52.69°, I = 1
2θ = 58.17°, I = 39
2θ = 68.29°, I = 12
2θ = 73.08°, I = 1
2θ = 77.74°, I = 17
2θ = 86.86°, I = 4

Atomic structure:
```
LaErTl2
1.0
0.0000 3.8847 3.8847
3.8847 0.0000 3.8847
3.8847 3.8847 0.0000
La Er Tl
1 1 2
Direct
0.0000 0.0000 0.0000 La
0.5000 0.5000 0.5000 Er
0.2500 0.2500 0.2500 Tl
0.7500 0.7500 0.7500 Tl
```

5.
This entry pairs a crystal structure of Sr3SbP with its theoretical X-ray diffraction stick pattern. Radiation: copper Kα. Structure: a PBE-relaxed structure.
Neutral-atom scattering factors, no anomalous dispersion.

Top 10 peaks for 2θ from 15° to 90°, in order of rising 2θ:
2θ = 21.90°, I = 9
2θ = 26.90°, I = 100
2θ = 31.16°, I = 71
2θ = 44.65°, I = 52
2θ = 52.90°, I = 46
2θ = 55.45°, I = 18
2θ = 71.67°, I = 18
2θ = 73.83°, I = 23
2θ = 82.29°, I = 17
2θ = 88.51°, I = 15

Atomic structure:
```
Sr3SbP
1.0
5.7400 0.0000 0.0000
0.0000 5.7400 0.0000
0.0000 0.0000 5.7400
Sr Sb P
3 1 1
Direct
0.0000 0.0000 0.5000 Sr
0.0000 0.5000 0.0000 Sr
0.5000 0.0000 0.0000 Sr
0.5000 0.5000 0.5000 Sb
0.0000 0.0000 0.0000 P
```

6.
This entry pairs a crystal structure of MgSi2 with its theoretical X-ray diffraction stick pattern. Radiation: copper Kα. Structure: a PBE-relaxed structure.
Neutral-atom scattering factors, no anomalous dispersion.

Top 10 peaks for 2θ from 15° to 90°, in order of rising 2θ:
2θ = 18.54°, I = 11
2θ = 36.90°, I = 10
2θ = 37.33°, I = 14
2θ = 38.12°, I = 60
2θ = 38.87°, I = 57
2θ = 39.10°, I = 100
2θ = 39.18°, I = 63
2θ = 42.05°, I = 48
2θ = 53.30°, I = 29
2θ = 69.55°, I = 13

Atomic structure:
```
MgSi2
1.0
3.4378 0.0000 0.0000
1.6281 4.9387 0.0000
1.6320 1.8769 12.0410
Mg Si
4 8
Direct
0.0000 0.0000 0.0000 Mg
0.0059 0.4794 0.5193 Mg
0.6602 0.3513 0.3273 Mg
0.9927 0.2659 0.7622 Mg
0.2888 0.7499 0.6733 Si
0.2904 0.4729 0.9549 Si
0.3332 0.1647 0.1658 Si
0.3536 0.8958 0.3900 Si
0.6812 0.5564 0.1055 Si
0.6973 0.7915 0.8246 Si
0.7250 0.0148 0.5431 Si
0.9722 0.8005 0.2369 Si
```

7.
This entry pairs a crystal structure of Mn2ZnS4 with its theoretical X-ray diffraction stick pattern. Radiation: copper Kα. Structure: a PBE-relaxed structure.
Neutral-atom scattering factors, no anomalous dispersion.

Top 10 peaks for 2θ from 15° to 90°, in order of rising 2θ:
2θ = 24.86°, I = 38
2θ = 29.24°, I = 100
2θ = 35.45°, I = 40
2θ = 43.79°, I = 15
2θ = 46.59°, I = 48
2θ = 51.00°, I = 86
2θ = 59.88°, I = 12
2θ = 71.55°, I = 18
2θ = 75.02°, I = 12
2θ = 82.47°, I = 12

Atomic structure:
```
Mn2ZnS4
1.0
0.0000 5.0644 5.0644
5.0644 0.0000 5.0644
5.0644 5.0644 0.0000
Mn Zn S
4 2 8
Direct
0.0000 0.0000 0.0000 Mn
0.0000 0.0000 0.5000 Mn
0.0000 0.5000 0.0000 Mn
0.5000 0.0000 0.0000 Mn
0.3750 0.3750 0.3750 Zn
0.6250 0.6250 0.6250 Zn
0.2227 0.7591 0.7591 S
0.2409 0.2409 0.2409 S
0.2409 0.2409 0.7773 S
0.2409 0.7773 0.2409 S
0.7591 0.2227 0.7591 S
0.7591 0.7591 0.2227 S
0.7591 0.7591 0.7591 S
0.7773 0.2409 0.2409 S
```

8.
This entry pairs a crystal structure of HoInPd2 with its theoretical X-ray diffraction stick pattern. Radiation: copper Kα. Structure: a PBE-relaxed structure.
Neutral-atom scattering factors, no anomalous dispersion.

Top 10 peaks for 2θ from 15° to 90°, in order of rising 2θ:
2θ = 22.69°, I = 2
2θ = 26.26°, I = 2
2θ = 37.48°, I = 100
2θ = 44.27°, I = 1
2θ = 46.35°, I = 1
2θ = 54.05°, I = 17
2θ = 59.36°, I = 1
2θ = 61.06°, I = 1
2θ = 67.63°, I = 35
2θ = 79.97°, I = 11

Atomic structure:
```
HoInPd2
1.0
0.0000 3.3932 3.3932
3.3932 0.0000 3.3932
3.3932 3.3932 0.0000
Ho In Pd
1 1 2
Direct
0.0000 0.0000 0.0000 Ho
0.5000 0.5000 0.5000 In
0.2500 0.2500 0.2500 Pd
0.7500 0.7500 0.7500 Pd
```

9.
This entry pairs a crystal structure of ZnCr2Se4 with its theoretical X-ray diffraction stick pattern. Radiation: copper Kα. Structure: a PBE-relaxed structure.
Neutral-atom scattering factors, no anomalous dispersion.

Top 10 peaks for 2θ from 15° to 90°, in order of rising 2θ:
2θ = 23.73°, I = 19
2θ = 27.90°, I = 38
2θ = 29.17°, I = 51
2θ = 33.81°, I = 75
2θ = 44.39°, I = 36
2θ = 48.57°, I = 100
2θ = 57.66°, I = 19
2θ = 60.49°, I = 15
2θ = 71.12°, I = 14
2θ = 81.12°, I = 17

Atomic structure:
```
ZnCr2Se4
1.0
0.0000 5.3022 5.3022
5.3022 0.0000 5.3022
5.3022 5.3022 0.0000
Zn Cr Se
2 4 8
Direct
0.1250 0.1250 0.1250 Zn
0.8750 0.8750 0.8750 Zn
0.0000 0.5000 0.5000 Cr
0.5000 0.0000 0.5000 Cr
0.5000 0.5000 0.0000 Cr
0.5000 0.5000 0.5000 Cr
0.2605 0.2605 0.2605 Se
0.2605 0.2605 0.7185 Se
0.2605 0.7185 0.2605 Se
0.2815 0.7395 0.7395 Se
0.7185 0.2605 0.2605 Se
0.7395 0.2815 0.7395 Se
0.7395 0.7395 0.2815 Se
0.7395 0.7395 0.7395 Se
```

10.
This entry pairs a crystal structure of LaSi2Pt with its theoretical X-ray diffraction stick pattern. Radiation: copper Kα. Structure: a PBE-relaxed structure.
Neutral-atom scattering factors, no anomalous dispersion.

Top 10 peaks for 2θ from 15° to 90°, in order of rising 2θ:
2θ = 29.64°, I = 100
2θ = 33.28°, I = 14
2θ = 33.45°, I = 41
2θ = 38.18°, I = 16
2θ = 41.23°, I = 19
2θ = 42.16°, I = 18
2θ = 51.61°, I = 14
2θ = 54.85°, I = 20
2θ = 57.46°, I = 16
2θ = 60.44°, I = 12

Atomic structure:
```
LaSi2Pt
1.0
2.1894 -8.4658 0.0000
2.1894 8.4658 0.0000
0.0000 0.0000 4.2871
La Si Pt
2 4 2
Direct
0.1060 0.8940 0.7500 La
0.8940 0.1060 0.2500 La
0.2492 0.7508 0.2500 Si
0.4638 0.5362 0.7500 Si
0.5362 0.4638 0.2500 Si
0.7508 0.2492 0.7500 Si
0.3196 0.6804 0.7500 Pt
0.6804 0.3196 0.2500 Pt
```

11.
This entry pairs a crystal structure of YAl3 with its theoretical X-ray diffraction stick pattern. Radiation: copper Kα. Structure: a PBE-relaxed structure.
Neutral-atom scattering factors, no anomalous dispersion.

Top 10 peaks for 2θ from 15° to 90°, in order of rising 2θ:
2θ = 22.30°, I = 55
2θ = 24.45°, I = 100
2θ = 25.81°, I = 26
2θ = 34.37°, I = 28
2θ = 40.47°, I = 87
2θ = 42.18°, I = 14
2θ = 45.51°, I = 13
2θ = 48.22°, I = 13
2θ = 55.50°, I = 14
2θ = 75.95°, I = 13

Atomic structure:
```
YAl3
1.0
7.9721 0.0000 0.0000
-3.9860 6.9040 0.0000
0.0000 0.0000 4.2848
Y Al
2 6
Direct
0.3333 0.6667 0.2500 Y
0.6667 0.3333 0.7500 Y
0.1199 0.2399 0.2500 Al
0.1199 0.8801 0.2500 Al
0.2399 0.1199 0.7500 Al
0.7601 0.8801 0.2500 Al
0.8801 0.1199 0.7500 Al
0.8801 0.7601 0.7500 Al
```